1.
Starting from a cell relaxed with GGA+U, the powder XRD pattern of K2FeP2O7 was simulated for CuKα.
Peak positions follow from Bragg's law for the DFT cell and can differ from measured ones.

Largest 12 diffraction maxima, in order of rising 2θ, 2θ from 10° to 90°:
15.44°, intensity 60; 21.24°, intensity 100; 25.81°, intensity 35; 27.83°, intensity 51; 31.17°, intensity 15; 32.76°, intensity 45; 32.88°, intensity 21; 33.21°, intensity 46; 36.41°, intensity 14; 44.82°, intensity 17; 49.78°, intensity 13; 54.13°, intensity 14

Atomic structure:
```
data_K2FeP2O7
_chemical_formula_sum 'K4 Fe2 P4 O14'
_cell_length_a 8.6435
_cell_length_b 8.6435
_cell_length_c 5.7396
_cell_angle_alpha 90.00
_cell_angle_beta 90.00
_cell_angle_gamma 90.00
_space_group_name_H-M_alt 'P 1'
_space_group_IT_number 1
loop_
_space_group_symop_operation_xyz
'x,y,z'
loop_
_atom_site_label
_atom_site_type_symbol
_atom_site_fract_x
_atom_site_fract_y
_atom_site_fract_z
K1 K 0.1437 0.3563 0.1367
K2 K 0.3563 0.8563 0.8633
K3 K 0.6437 0.1437 0.8633
K4 K 0.8563 0.6437 0.1367
Fe1 Fe 0.0000 0.0000 0.5000
Fe2 Fe 0.5000 0.5000 0.5000
P1 P 0.1257 0.6257 0.6318
P2 P 0.3743 0.1257 0.3682
P3 P 0.6257 0.8743 0.3682
P4 P 0.8743 0.3743 0.6318
O1 O 0.0000 0.5000 0.5287
O2 O 0.0727 0.7796 0.5254
O3 O 0.1253 0.6253 0.8960
O4 O 0.2204 0.0727 0.4746
O5 O 0.2796 0.5727 0.5254
O6 O 0.3747 0.1253 0.1040
O7 O 0.4273 0.2796 0.4746
O8 O 0.5000 0.0000 0.4713
O9 O 0.5727 0.7204 0.4746
O10 O 0.6253 0.8747 0.1040
O11 O 0.7204 0.4273 0.5254
O12 O 0.7796 0.9273 0.4746
O13 O 0.8747 0.3747 0.8960
O14 O 0.9273 0.2204 0.5254
```



2.
Starting from a cell relaxed with GGA+U, the powder XRD pattern of KFe2P2O8 was simulated for CuKα.
Peak positions follow from Bragg's law for the DFT cell and can differ from measured ones.

Largest 12 diffraction maxima, in order of rising 2θ, 2θ from 10° to 90°:
12.26°, intensity 12; 13.67°, intensity 15; 15.02°, intensity 10; 21.27°, intensity 19; 26.15°, intensity 24; 28.32°, intensity 100; 30.23°, intensity 43; 33.91°, intensity 27; 35.11°, intensity 15; 43.38°, intensity 11; 51.21°, intensity 9; 53.73°, intensity 18

Atomic structure:
```
data_KFe2P2O8
_chemical_formula_sum 'K4 Fe8 P8 O32'
_cell_length_a 8.0005
_cell_length_b 10.2288
_cell_length_c 9.2774
_cell_angle_alpha 90.00
_cell_angle_beta 115.54
_cell_angle_gamma 90.00
_space_group_name_H-M_alt 'P 1'
_space_group_IT_number 1
loop_
_space_group_symop_operation_xyz
'x,y,z'
loop_
_atom_site_label
_atom_site_type_symbol
_atom_site_fract_x
_atom_site_fract_y
_atom_site_fract_z
K1 K 0.1468 0.1406 0.0726
K2 K 0.1468 0.3594 0.5726
K3 K 0.8532 0.6405 0.4274
K4 K 0.8532 0.8594 0.9274
Fe1 Fe 0.2289 0.6216 0.2436
Fe2 Fe 0.2289 0.8784 0.7436
Fe3 Fe 0.4356 0.1177 0.5541
Fe4 Fe 0.4356 0.3823 0.0541
Fe5 Fe 0.5644 0.6177 0.9459
Fe6 Fe 0.5644 0.8823 0.4459
Fe7 Fe 0.7711 0.1216 0.2564
Fe8 Fe 0.7711 0.3784 0.7564
P1 P 0.1140 0.5956 0.8523
P2 P 0.1140 0.9044 0.3523
P3 P 0.4926 0.1604 0.8643
P4 P 0.4926 0.3396 0.3643
P5 P 0.5074 0.6604 0.6357
P6 P 0.5074 0.8396 0.1357
P7 P 0.8860 0.0956 0.6477
P8 P 0.8860 0.4044 0.1477
O1 O 0.0317 0.5047 0.2540
O2 O 0.0317 0.9953 0.7540
O3 O 0.0896 0.7193 0.7498
O4 O 0.0896 0.7807 0.2498
O5 O 0.0944 0.6290 0.0063
O6 O 0.0944 0.8710 0.5063
O7 O 0.3102 0.5346 0.8961
O8 O 0.3102 0.9654 0.3961
O9 O 0.3453 0.6097 0.4848
O10 O 0.3453 0.8903 0.9848
O11 O 0.3471 0.2346 0.9007
O12 O 0.3471 0.2654 0.4007
O13 O 0.3938 0.0440 0.7454
O14 O 0.3938 0.4560 0.2454
O15 O 0.4418 0.7490 0.2387
O16 O 0.4418 0.7510 0.7387
O17 O 0.5582 0.2490 0.2613
O18 O 0.5582 0.2510 0.7613
O19 O 0.6062 0.5440 0.7546
O20 O 0.6062 0.9560 0.2546
O21 O 0.6529 0.7346 0.5993
O22 O 0.6529 0.7654 0.0993
O23 O 0.6547 0.1097 0.0152
O24 O 0.6547 0.3903 0.5152
O25 O 0.6898 0.0346 0.6039
O26 O 0.6898 0.4654 0.1039
O27 O 0.9056 0.1290 0.4937
O28 O 0.9056 0.3710 0.9937
O29 O 0.9104 0.2193 0.7502
O30 O 0.9104 0.2807 0.2502
O31 O 0.9683 0.0047 0.2460
O32 O 0.9683 0.4953 0.7460
```



3.
Starting from a cell relaxed with GGA+U, the powder XRD pattern of KSrPrFeO6 was simulated for CuKα.
Peak positions follow from Bragg's law for the DFT cell and can differ from measured ones.

Largest 12 diffraction maxima, in order of rising 2θ, 2θ from 10° to 90°:
18.34°, intensity 15; 21.21°, intensity 16; 30.17°, intensity 100; 35.54°, intensity 14; 43.20°, intensity 35; 47.30°, intensity 9; 48.60°, intensity 6; 53.59°, intensity 38; 62.74°, intensity 21; 71.18°, intensity 18; 79.22°, intensity 6; 87.05°, intensity 21

Atomic structure:
```
data_KSrPrFeO6
_chemical_formula_sum 'K1 Sr1 Pr1 Fe1 O6'
_cell_length_a 5.9237
_cell_length_b 5.9237
_cell_length_c 5.9237
_cell_angle_alpha 60.00
_cell_angle_beta 60.00
_cell_angle_gamma 60.00
_space_group_name_H-M_alt 'P 1'
_space_group_IT_number 1
loop_
_space_group_symop_operation_xyz
'x,y,z'
loop_
_atom_site_label
_atom_site_type_symbol
_atom_site_fract_x
_atom_site_fract_y
_atom_site_fract_z
K1 K 0.0000 0.0000 0.0000
Sr1 Sr 0.5000 0.5000 0.5000
Pr1 Pr 0.2500 0.2500 0.2500
Fe1 Fe 0.7500 0.7500 0.7500
O1 O 0.5265 0.5265 0.9735
O2 O 0.5265 0.9735 0.5265
O3 O 0.5265 0.9735 0.9735
O4 O 0.9735 0.5265 0.5265
O5 O 0.9735 0.5265 0.9735
O6 O 0.9735 0.9735 0.5265
```